Record 1
Structure and theoretical powder XRD pattern of Ba2Cu5F14 (a crystal structure in the Materials Project, relaxed with PBE; Cu Kα).

Largest 6 diffraction maxima, by intensity, 2θ = 15–90°:
- 25.65°, rel. 100
- 38.35°, rel. 63
- 28.43°, rel. 62
- 28.23°, rel. 59
- 31.79°, rel. 52
- 36.80°, rel. 44

a = 9.832 Å, b = 9.832 Å, c = 10.492 Å
α = 114.80°, β = 114.80°, γ = 39.93°
Positions (direct):
Ba  0.045  0.280  0.130
Ba  0.280  0.045  0.630
Ba  0.720  0.955  0.370
Ba  0.955  0.720  0.870
Cu  0.146  0.854  0.750
Cu  0.205  0.444  0.507
Cu  0.323  0.607  0.360
Cu  0.393  0.677  0.140
Cu  0.444  0.205  0.007
Cu  0.556  0.795  0.993
Cu  0.607  0.323  0.860
Cu  0.677  0.393  0.640
Cu  0.795  0.556  0.493
Cu  0.854  0.146  0.250
F  0.037  0.896  0.356
F  0.041  0.740  0.603
F  0.104  0.963  0.144
F  0.144  0.411  0.637
F  0.171  0.329  0.895
F  0.204  0.517  0.361
F  0.260  0.959  0.897
F  0.288  0.559  0.111
F  0.316  0.614  0.867
F  0.329  0.171  0.395
F  0.386  0.684  0.633
F  0.411  0.144  0.137
F  0.441  0.712  0.389
F  0.483  0.796  0.139
F  0.517  0.204  0.861
F  0.559  0.288  0.611
F  0.589  0.856  0.863
F  0.614  0.316  0.367
F  0.671  0.829  0.605
F  0.684  0.386  0.133
F  0.712  0.441  0.889
F  0.740  0.041  0.103
F  0.796  0.483  0.639
F  0.829  0.671  0.105
F  0.856  0.589  0.363
F  0.896  0.037  0.856
F  0.959  0.260  0.397
F  0.963  0.104  0.644


Record 2
Structure and theoretical powder XRD pattern of BaMgCuF7 (a crystal structure in the Materials Project, relaxed with PBE; Cu Kα).

Largest 6 diffraction maxima, by intensity, 2θ = 15–90°:
- 25.30°, rel. 100
- 26.54°, rel. 54
- 41.00°, rel. 37
- 40.57°, rel. 29
- 41.46°, rel. 24
- 52.70°, rel. 21

a = 5.613 Å, b = 9.943 Å, c = 9.707 Å
α = 90.00°, β = 93.20°, γ = 90.00°
Positions (direct):
Ba  0.237  0.180  0.000
Ba  0.237  0.320  0.500
Ba  0.763  0.680  0.500
Ba  0.763  0.820  0.000
Mg  0.197  0.604  0.809
Mg  0.197  0.896  0.309
Mg  0.803  0.104  0.691
Mg  0.803  0.396  0.191
Cu  0.306  0.613  0.187
Cu  0.306  0.887  0.687
Cu  0.694  0.113  0.313
Cu  0.694  0.387  0.813
F  0.031  0.711  0.249
F  0.031  0.789  0.749
F  0.116  0.542  0.626
F  0.116  0.958  0.126
F  0.134  0.048  0.631
F  0.134  0.452  0.131
F  0.240  0.690  0.003
F  0.240  0.810  0.503
F  0.387  0.544  0.364
F  0.387  0.956  0.864
F  0.392  0.054  0.375
F  0.392  0.446  0.875
F  0.474  0.723  0.748
F  0.474  0.777  0.248
F  0.526  0.223  0.752
F  0.526  0.277  0.252
F  0.608  0.554  0.125
F  0.608  0.946  0.625
F  0.613  0.044  0.136
F  0.613  0.456  0.636
F  0.760  0.190  0.497
F  0.760  0.310  0.997
F  0.866  0.548  0.869
F  0.866  0.952  0.369
F  0.884  0.042  0.874
F  0.884  0.458  0.374
F  0.969  0.211  0.251
F  0.969  0.289  0.751


Record 3
Structure and theoretical powder XRD pattern of BaCuSF (a crystal structure in the Materials Project, relaxed with PBE; Cu Kα).

Largest 6 diffraction maxima, by intensity, 2θ = 15–90°:
- 29.19°, rel. 100
- 36.55°, rel. 99
- 23.66°, rel. 78
- 43.84°, rel. 57
- 53.54°, rel. 34
- 45.49°, rel. 33

a = 4.130 Å, b = 4.130 Å, c = 9.106 Å
α = 90.00°, β = 90.00°, γ = 90.00°
Positions (direct):
Ba  0.250  0.250  0.180
Ba  0.750  0.750  0.820
Cu  0.250  0.750  0.500
Cu  0.750  0.250  0.500
S  0.250  0.250  0.643
S  0.750  0.750  0.357
F  0.250  0.750  0.000
F  0.750  0.250  0.000


Record 4
Structure and theoretical powder XRD pattern of Ba2ZnCuSb2F14 (a crystal structure in the Materials Project, relaxed with PBE; Cu Kα).

Largest 6 diffraction maxima, by intensity, 2θ = 15–90°:
- 24.86°, rel. 100
- 28.23°, rel. 96
- 21.85°, rel. 32
- 27.21°, rel. 31
- 48.57°, rel. 27
- 25.13°, rel. 26

a = 7.706 Å, b = 7.706 Å, c = 16.272 Å
α = 90.13°, β = 90.13°, γ = 40.65°
Positions (direct):
Ba  0.090  0.263  0.128
Ba  0.263  0.090  0.628
Ba  0.737  0.910  0.372
Ba  0.910  0.737  0.872
Zn  0.450  0.550  0.250
Zn  0.550  0.450  0.750
Cu  0.500  0.500  0.000
Cu  0.500  0.500  0.500
Sb  0.071  0.154  0.378
Sb  0.154  0.071  0.878
Sb  0.846  0.929  0.122
Sb  0.929  0.846  0.622
F  0.015  0.339  0.786
F  0.113  0.587  0.048
F  0.124  0.382  0.397
F  0.131  0.709  0.490
F  0.148  0.821  0.330
F  0.179  0.852  0.170
F  0.226  0.553  0.735
F  0.291  0.869  0.010
F  0.339  0.015  0.286
F  0.347  0.593  0.891
F  0.382  0.124  0.897
F  0.407  0.653  0.609
F  0.413  0.887  0.452
F  0.447  0.774  0.765
F  0.553  0.226  0.235
F  0.587  0.113  0.548
F  0.593  0.347  0.391
F  0.618  0.876  0.103
F  0.653  0.407  0.109
F  0.661  0.985  0.714
F  0.709  0.131  0.990
F  0.774  0.447  0.265
F  0.821  0.148  0.830
F  0.852  0.179  0.670
F  0.869  0.291  0.510
F  0.876  0.618  0.603
F  0.887  0.413  0.952
F  0.985  0.661  0.214


Record 5
Structure and theoretical powder XRD pattern of Ba2CuSn2F14 (a crystal structure in the Materials Project, relaxed with PBE; Cu Kα).

Largest 6 diffraction maxima, by intensity, 2θ = 15–90°:
- 24.50°, rel. 100
- 17.36°, rel. 56
- 22.70°, rel. 55
- 28.51°, rel. 50
- 26.72°, rel. 37
- 28.92°, rel. 32

a = 7.806 Å, b = 7.806 Å, c = 15.686 Å
α = 92.26°, β = 92.26°, γ = 40.88°
Positions (direct):
Ba  0.100  0.255  0.128
Ba  0.255  0.100  0.628
Ba  0.745  0.900  0.372
Ba  0.900  0.745  0.872
Cu  0.500  0.500  0.000
Cu  0.500  0.500  0.500
Sn  0.097  0.143  0.372
Sn  0.143  0.097  0.872
Sn  0.857  0.903  0.128
Sn  0.903  0.857  0.628
F  0.013  0.634  0.218
F  0.056  0.928  0.346
F  0.072  0.944  0.154
F  0.115  0.604  0.046
F  0.123  0.705  0.520
F  0.134  0.366  0.412
F  0.165  0.585  0.712
F  0.295  0.877  0.980
F  0.366  0.134  0.912
F  0.366  0.987  0.282
F  0.369  0.510  0.898
F  0.396  0.885  0.454
F  0.415  0.835  0.788
F  0.490  0.631  0.602
F  0.510  0.369  0.398
F  0.585  0.165  0.212
F  0.604  0.115  0.546
F  0.631  0.490  0.102
F  0.634  0.013  0.718
F  0.634  0.866  0.088
F  0.705  0.123  0.020
F  0.835  0.415  0.288
F  0.866  0.634  0.588
F  0.877  0.295  0.480
F  0.885  0.396  0.954
F  0.928  0.056  0.846
F  0.944  0.072  0.654
F  0.987  0.366  0.782


Record 6
Structure and theoretical powder XRD pattern of Ba2Ti2CuF14 (a crystal structure in the Materials Project, relaxed with PBE; Cu Kα).

Largest 6 diffraction maxima, by intensity, 2θ = 15–90°:
- 24.85°, rel. 100
- 23.24°, rel. 40
- 21.17°, rel. 40
- 29.19°, rel. 32
- 17.60°, rel. 27
- 27.32°, rel. 26

a = 7.689 Å, b = 7.689 Å, c = 15.313 Å
α = 91.11°, β = 91.11°, γ = 40.96°
Positions (direct):
Ba  0.106  0.249  0.124
Ba  0.249  0.106  0.624
Ba  0.751  0.894  0.376
Ba  0.894  0.751  0.876
Ti  0.101  0.142  0.371
Ti  0.142  0.101  0.871
Ti  0.858  0.899  0.129
Ti  0.899  0.858  0.629
Cu  0.500  0.500  0.000
Cu  0.500  0.500  0.500
F  0.009  0.643  0.217
F  0.059  0.941  0.151
F  0.059  0.941  0.349
F  0.113  0.602  0.051
F  0.119  0.709  0.524
F  0.135  0.357  0.412
F  0.154  0.595  0.706
F  0.291  0.881  0.976
F  0.357  0.135  0.912
F  0.357  0.991  0.283
F  0.374  0.501  0.897
F  0.398  0.887  0.449
F  0.405  0.846  0.794
F  0.499  0.626  0.603
F  0.501  0.374  0.397
F  0.595  0.154  0.206
F  0.602  0.113  0.551
F  0.626  0.499  0.103
F  0.643  0.009  0.717
F  0.643  0.865  0.088
F  0.709  0.119  0.024
F  0.846  0.405  0.294
F  0.865  0.643  0.588
F  0.881  0.291  0.476
F  0.887  0.398  0.949
F  0.941  0.059  0.651
F  0.941  0.059  0.849
F  0.991  0.357  0.783